For GdPO4, a PBE-relaxed structure gives the computed X-ray diffraction stick pattern in this record (CuKα).
Lines closer than 0.1° are merged.

Peak list (10 most intense, 2θ = 15–90°, in order of rising 2θ)
2θ 19.16, d = 4.632 Å, intensity 545; 2θ 25.19, d = 3.535 Å, intensity 1000; 2θ 31.84, d = 2.810 Å, intensity 245; 2θ 34.31, d = 2.614 Å, intensity 654; 2θ 35.93, d = 2.500 Å, intensity 212; 2θ 41.03, d = 2.200 Å, intensity 212; 2θ 48.76, d = 1.868 Å, intensity 212; 2θ 50.53, d = 1.806 Å, intensity 531; 2θ 51.72, d = 1.767 Å, intensity 140; 2θ 63.55, d = 1.464 Å, intensity 154

Atomic structure:
```
GdPO4
1.0
-3.535 3.535 3.066
3.535 -3.535 3.066
3.535 3.535 -3.066
Gd P O
2 2 8
Direct
0.375 0.625 0.750 Gd
0.625 0.375 0.250 Gd
0.125 0.875 0.250 P
0.875 0.125 0.750 P
0.139 0.717 0.422 O
0.206 0.283 0.922 O
0.283 0.206 0.422 O
0.283 0.861 0.078 O
0.717 0.139 0.922 O
0.717 0.794 0.578 O
0.794 0.717 0.078 O
0.861 0.283 0.578 O
```